Record 1
Calculated powder diffraction line list of SrLiNdCoO4 for Cu Kα, from a structure optimized by DFT (GGA+U).

```
data_SrLiNdCoO4
_symmetry_space_group_name_H-M 'P 1'
_symmetry_Int_Tables_number 1
_cell_length_a 3.3766
_cell_length_b 3.8812
_cell_length_c 8.1930
_cell_angle_alpha 90.57
_cell_angle_beta 90.19
_cell_angle_gamma 90.29
loop_
_symmetry_equiv_pos_as_xyz
'x,y,z'
loop_
_atom_site_label
_atom_site_fract_x
_atom_site_fract_y
_atom_site_fract_z
_atom_site_occupancy
Sr1 0.0000 0.0000 0.0000 1
Li1 0.4948 0.5027 0.7273 1
Nd1 0.4913 0.5173 0.3398 1
Co1 0.9917 0.0142 0.6043 1
O1 0.0131 0.9989 0.3188 1
O2 0.4936 0.9983 0.7526 1
O3 0.5038 0.5005 0.0649 1
O4 0.9874 0.5016 0.5619 1
```

Largest 6 diffraction maxima, by angle, 10° ≤ 2θ ≤ 90°:
10.80 deg, I 100, hkl 0 0 1
25.49 deg, I 70, hkl 0 1 1
28.59 deg, I 65, hkl 1 0 -1
32.80 deg, I 70, hkl 0 0 3
35.14 deg, I 70, hkl 1 -1 0
35.32 deg, I 69, hkl 1 1 0


Record 2
Calculated powder diffraction line list of SrLiNdCoO4 for Cu Kα, from a structure optimized by DFT (GGA+U).

```
data_SrLiNdCoO4
_symmetry_space_group_name_H-M 'P 1'
_symmetry_Int_Tables_number 1
_cell_length_a 3.7843
_cell_length_b 5.0721
_cell_length_c 6.6092
_cell_angle_alpha 71.54
_cell_angle_beta 79.63
_cell_angle_gamma 86.72
loop_
_symmetry_equiv_pos_as_xyz
'x,y,z'
loop_
_atom_site_label
_atom_site_fract_x
_atom_site_fract_y
_atom_site_fract_z
_atom_site_occupancy
Sr1 0.0000 0.0000 0.0000 1
Li1 0.9418 0.7940 0.5548 1
Nd1 0.4330 0.3598 0.4459 1
Co1 0.5164 0.5372 0.8770 1
O1 0.0878 0.4850 0.7640 1
O2 0.4563 0.2273 0.1420 1
O3 0.5790 0.9524 0.7210 1
O4 0.9252 0.6234 0.3422 1
```

Largest 6 diffraction maxima, by angle, 10° ≤ 2θ ≤ 90°:
18.44 deg, I 43, hkl 0 1 0
19.53 deg, I 36, hkl 0 1 1
26.81 deg, I 55, hkl 0 1 -1
28.91 deg, I 48, hkl 0 0 2
29.06 deg, I 100, hkl 0 1 2
30.36 deg, I 99, hkl 1 -1 0


Record 3
Calculated powder diffraction line list of Li2Co3NiO8 for Cu Kα, from a structure optimized by DFT (GGA+U).

```
data_Li2Co3NiO8
_symmetry_space_group_name_H-M 'P -1'
_symmetry_Int_Tables_number 2
_cell_length_a 5.7188
_cell_length_b 5.7631
_cell_length_c 5.8742
_cell_angle_alpha 90.36
_cell_angle_beta 119.10
_cell_angle_gamma 118.69
loop_
_symmetry_equiv_pos_as_xyz
'x,y,z'
'-x,-y,-z'
loop_
_atom_site_label
_atom_site_fract_x
_atom_site_fract_y
_atom_site_fract_z
_atom_site_occupancy
Li1 0.0000 0.0000 0.0000 1
Li2 0.5000 0.0000 0.0000 1
Co1 0.0000 0.0000 0.5000 1
Co2 0.0000 0.5000 0.5000 1
Co3 0.5000 0.5000 0.5000 1
Ni1 0.5000 0.0000 0.5000 1
O1 0.0093 0.2423 0.2868 1
O2 0.0473 0.7884 0.2966 1
O3 0.4550 0.2115 0.7029 1
O4 0.4879 0.7549 0.7111 1
```

Largest 6 diffraction maxima, by angle, 10° ≤ 2θ ≤ 90°:
18.20 deg, I 100, hkl 0 0 1
36.17 deg, I 12, hkl 0 2 -1
36.89 deg, I 15, hkl -2 2 1
43.47 deg, I 18, hkl 2 0 0
43.88 deg, I 18, hkl 0 2 -2
44.21 deg, I 17, hkl -2 2 2


Record 4
Calculated powder diffraction line list of Li10CoNi9O20 for Cu Kα, from a structure optimized by DFT (GGA+U).

```
data_Li10CoNi9O20
_symmetry_space_group_name_H-M 'P 1 2/m 1'
_symmetry_Int_Tables_number 10
_cell_length_a 5.7147
_cell_length_b 2.7921
_cell_length_c 21.4768
_cell_angle_alpha 90.00
_cell_angle_beta 97.51
_cell_angle_gamma 90.00
loop_
_symmetry_equiv_pos_as_xyz
'x,y,z'
'-x,-y,-z'
'-x,y,-z'
'x,-y,z'
loop_
_atom_site_label
_atom_site_fract_x
_atom_site_fract_y
_atom_site_fract_z
_atom_site_occupancy
Li1 0.0000 0.0000 0.0000 1
Li2 0.0000 0.5000 0.5000 1
Li3 0.1963 0.0000 0.4011 1
Li4 0.1998 0.5000 0.8999 1
Li5 0.3989 0.0000 0.7997 1
Li6 0.4002 0.5000 0.2982 1
Co1 0.5000 0.5000 0.5000 1
Ni1 0.0999 0.0000 0.2003 1
Ni2 0.1004 0.5000 0.6988 1
Ni3 0.2979 0.0000 0.5969 1
Ni4 0.3001 0.5000 0.1001 1
Ni5 0.5000 0.0000 0.0000 1
O1 0.0728 0.5000 0.6003 1
O2 0.0749 0.0000 0.1000 1
O3 0.1258 0.5000 0.7996 1
O4 0.1281 0.0000 0.3008 1
O5 0.2719 0.0000 0.4993 1
O6 0.2747 0.5000 0.9999 1
O7 0.3254 0.5000 0.2001 1
O8 0.3294 0.0000 0.6986 1
O9 0.4747 0.0000 0.8999 1
O10 0.4767 0.5000 0.4092 1
```

Largest 6 diffraction maxima, by angle, 10° ≤ 2θ ≤ 90°:
18.68 deg, I 100, hkl 1 0 2
35.33 deg, I 18, hkl 1 0 -8
37.38 deg, I 24, hkl 1 1 -3
42.45 deg, I 27, hkl 0 0 10
45.42 deg, I 44, hkl 2 1 -1
63.97 deg, I 13, hkl 2 1 -11


Record 5
Calculated powder diffraction line list of Li3CoNi3O8 for Cu Kα, from a structure optimized by DFT (GGA+U).

```
data_Li3CoNi3O8
_symmetry_space_group_name_H-M 'P 1'
_symmetry_Int_Tables_number 1
_cell_length_a 5.6790
_cell_length_b 5.6972
_cell_length_c 9.2701
_cell_angle_alpha 90.03
_cell_angle_beta 90.11
_cell_angle_gamma 119.70
loop_
_symmetry_equiv_pos_as_xyz
'x,y,z'
loop_
_atom_site_label
_atom_site_fract_x
_atom_site_fract_y
_atom_site_fract_z
_atom_site_occupancy
Li1 0.0000 0.0000 0.0000 1
Li2 0.0099 0.5052 0.0001 1
Li3 0.3334 0.6635 0.5002 1
Li4 0.3465 0.1741 0.5008 1
Li5 0.5032 0.0081 0.0005 1
Li6 0.8359 0.6768 0.5005 1
Co1 0.5052 0.5056 0.0390 1
Co2 0.8396 0.1726 0.5385 1
Ni1 0.0084 0.4998 0.2659 1
Ni2 0.3369 0.6637 0.7655 1
Ni3 0.3470 0.1785 0.7657 1
Ni4 0.5114 0.0153 0.2667 1
Ni5 0.8320 0.6729 0.7656 1
Ni6 0.9990 0.0025 0.2656 1
O1 0.0198 0.5085 0.6399 1
O2 0.1336 0.2992 0.4044 1
O3 0.1711 0.8383 0.3656 1
O4 0.1724 0.8370 0.8646 1
O5 0.2091 0.3391 0.9034 1
O6 0.3262 0.6582 0.1403 1
O7 0.3502 0.1644 0.1405 1
O8 0.5054 0.0187 0.6395 1
O9 0.5053 0.5072 0.6564 1
O10 0.6338 0.8006 0.9030 1
O11 0.6683 0.3734 0.9046 1
O12 0.6699 0.8779 0.4021 1
O13 0.7100 0.3397 0.4029 1
O14 0.8412 0.1711 0.1607 1
O15 0.8419 0.6858 0.1380 1
O16 0.9935 0.9945 0.6400 1
```

Largest 6 diffraction maxima, by angle, 10° ≤ 2θ ≤ 90°:
19.15 deg, I 65, hkl 0 0 2
20.37 deg, I 100, hkl 0 1 -1
20.44 deg, I 49, hkl -1 1 1
34.23 deg, I 42, hkl 0 1 3
47.06 deg, I 52, hkl 2 0 -3
47.23 deg, I 52, hkl 2 0 3


Record 6
Calculated powder diffraction line list of Li3CoNi4O8 for Cu Kα, from a structure optimized by DFT (GGA+U).

```
data_Li3CoNi4O8
_symmetry_space_group_name_H-M 'C 1 2/m 1'
_symmetry_Int_Tables_number 12
_cell_length_a 10.1467
_cell_length_b 5.7577
_cell_length_c 5.8098
_cell_angle_alpha 90.00
_cell_angle_beta 124.91
_cell_angle_gamma 90.00
loop_
_symmetry_equiv_pos_as_xyz
'x,y,z'
'-x,-y,-z'
'-x,y,-z'
'x,-y,z'
'x+1/2,y+1/2,z'
'-x+1/2,-y+1/2,-z'
'-x+1/2,y+1/2,-z'
'x+1/2,-y+1/2,z'
loop_
_atom_site_label
_atom_site_fract_x
_atom_site_fract_y
_atom_site_fract_z
_atom_site_occupancy
Li1 0.0000 0.0000 0.0000 1
Li2 0.2500 0.2500 0.0000 1
Co1 0.0000 0.5000 0.5000 1
Ni1 0.0000 0.0000 0.5000 1
Ni2 0.0000 0.5000 0.0000 1
Ni3 0.2500 0.2500 0.5000 1
O1 0.9995 0.2631 0.2623 1
O2 0.2301 0.5000 0.7118 1
O3 0.2496 0.0000 0.7213 1
```

Largest 6 diffraction maxima, by angle, 10° ≤ 2θ ≤ 90°:
18.63 deg, I 100, hkl 0 0 1
37.77 deg, I 34, hkl 0 0 2
38.01 deg, I 33, hkl 2 2 0
43.51 deg, I 53, hkl 4 0 0
44.30 deg, I 99, hkl 2 2 -2
63.83 deg, I 56, hkl 6 2 -2


Record 7
Calculated powder diffraction line list of Li3Co2NiO6 for Cu Kα, from a structure optimized by DFT (GGA+U).

```
data_Li3Co2NiO6
_symmetry_space_group_name_H-M 'P 1'
_symmetry_Int_Tables_number 1
_cell_length_a 2.8572
_cell_length_b 6.5028
_cell_length_c 11.5604
_cell_angle_alpha 76.62
_cell_angle_beta 89.90
_cell_angle_gamma 77.36
loop_
_symmetry_equiv_pos_as_xyz
'x,y,z'
loop_
_atom_site_label
_atom_site_fract_x
_atom_site_fract_y
_atom_site_fract_z
_atom_site_occupancy
Li1 0.0000 0.0000 0.0000 1
Li2 0.0002 0.0016 0.4991 1
Li3 0.3276 0.3413 0.3241 1
Li4 0.3314 0.3355 0.8388 1
Li5 0.6675 0.6633 0.1678 1
Li6 0.6693 0.6628 0.6737 1
Co1 0.3296 0.3363 0.0838 1
Co2 0.3319 0.3364 0.5834 1
Co3 0.6675 0.6635 0.9177 1
Co4 0.6694 0.6643 0.4176 1
Ni1 0.0006 0.9979 0.7518 1
Ni2 0.9985 0.0007 0.2510 1
O1 0.1683 0.6639 0.8033 1
O2 0.1712 0.6643 0.3060 1
O3 0.1735 0.6500 0.0330 1
O4 0.1776 0.6465 0.5340 1
O5 0.4795 0.0245 0.1296 1
O6 0.4823 0.0336 0.6245 1
O7 0.5116 0.9769 0.8740 1
O8 0.5187 0.9751 0.3738 1
O9 0.8241 0.3489 0.9681 1
O10 0.8265 0.3487 0.4706 1
O11 0.8276 0.3356 0.1972 1
O12 0.8301 0.3374 0.6925 1
```

Largest 6 diffraction maxima, by angle, 10° ≤ 2θ ≤ 90°:
18.69 deg, I 100, hkl 0 1 2
36.42 deg, I 13, hkl 0 2 -2
36.80 deg, I 26, hkl 1 0 2
44.07 deg, I 23, hkl 0 3 0
44.60 deg, I 46, hkl 1 1 4
48.58 deg, I 13, hkl 0 0 6


Record 8
Calculated powder diffraction line list of Li2Co3NiO8 for Cu Kα, from a structure optimized by DFT (GGA+U).

```
data_Li2Co3NiO8
_symmetry_space_group_name_H-M 'R 3 m'
_symmetry_Int_Tables_number 160
_symmetry_space_group_name_Hall 'R 3 -2"'
_cell_length_a 5.6917
_cell_length_b 5.6917
_cell_length_c 14.0133
_cell_angle_alpha 90.00
_cell_angle_beta 90.00
_cell_angle_gamma 120.00
loop_
_atom_site_label
_atom_site_fract_x
_atom_site_fract_y
_atom_site_fract_z
_atom_site_occupancy
Li1 0.0000 0.0000 0.0000 1
Li2 0.0000 0.0000 0.3743 1
Co1 0.0075 0.5037 0.8791 1
Ni1 0.0000 0.0000 0.7575 1
O1 0.0000 0.0000 0.1402 1
O2 0.0000 0.0000 0.6189 1
O3 0.0252 0.5126 0.1349 1
O4 0.1769 0.3538 0.9445 1
```

Largest 6 diffraction maxima, by angle, 10° ≤ 2θ ≤ 90°:
19.01 deg, I 100, hkl 0 0 3
22.05 deg, I 45, hkl 0 1 2
36.96 deg, I 65, hkl 1 1 3
37.04 deg, I 77, hkl 0 2 1
44.97 deg, I 47, hkl 0 2 4
59.52 deg, I 41, hkl 0 2 7


Record 9
Calculated powder diffraction line list of Li2Co2NiO6 for Cu Kα, from a structure optimized by DFT (GGA+U).

```
data_Li2Co2NiO6
_symmetry_space_group_name_H-M 'P -1'
_symmetry_Int_Tables_number 2
_cell_length_a 5.8380
_cell_length_b 5.8793
_cell_length_c 6.5124
_cell_angle_alpha 104.82
_cell_angle_beta 103.42
_cell_angle_gamma 91.18
loop_
_symmetry_equiv_pos_as_xyz
'x,y,z'
'-x,-y,-z'
loop_
_atom_site_label
_atom_site_fract_x
_atom_site_fract_y
_atom_site_fract_z
_atom_site_occupancy
Li1 0.0000 0.0000 0.0000 1
Li2 0.1781 0.6527 0.6589 1
Li3 0.5000 0.0000 0.0000 1
Co1 0.1653 0.1690 0.6620 1
Co2 0.3306 0.8255 0.3364 1
Ni1 0.0000 0.5000 0.0000 1
Ni2 0.5000 0.5000 0.0000 1
O1 0.0615 0.6130 0.3327 1
O2 0.0731 0.0576 0.3501 1
O3 0.2435 0.7489 0.0234 1
O4 0.2520 0.2632 0.9708 1
O5 0.3958 0.9414 0.6466 1
O6 0.4145 0.3978 0.6916 1
```

Largest 6 diffraction maxima, by angle, 10° ≤ 2θ ≤ 90°:
18.30 deg, I 100, hkl 0 1 -1
35.86 deg, I 13, hkl -2 1 1
37.04 deg, I 16, hkl 0 1 2
43.24 deg, I 20, hkl 2 -2 0
44.21 deg, I 19, hkl 2 2 -1
44.54 deg, I 18, hkl 0 0 3


Record 10
Calculated powder diffraction line list of LiCo3NiO8 for Cu Kα, from a structure optimized by DFT (GGA+U).

```
data_LiCo3NiO8
_symmetry_space_group_name_H-M 'P 1'
_symmetry_Int_Tables_number 1
_cell_length_a 5.6854
_cell_length_b 6.0135
_cell_length_c 9.8702
_cell_angle_alpha 73.67
_cell_angle_beta 89.64
_cell_angle_gamma 61.82
loop_
_symmetry_equiv_pos_as_xyz
'x,y,z'
loop_
_atom_site_label
_atom_site_fract_x
_atom_site_fract_y
_atom_site_fract_z
_atom_site_occupancy
Li1 0.0000 0.0000 0.0000 1
Li2 0.4900 0.0062 0.4960 1
Co1 0.0027 0.5062 0.4976 1
Co2 0.2447 0.5022 0.2481 1
Co3 0.4873 0.4994 0.9983 1
Co4 0.4992 0.5131 0.4966 1
Co5 0.7452 0.5033 0.7478 1
Co6 0.9908 0.4922 0.9994 1
Ni1 0.2451 0.5033 0.7479 1
Ni2 0.7449 0.5018 0.2482 1
O1 0.0719 0.2954 0.8734 1
O2 0.1169 0.3047 0.3725 1
O3 0.1414 0.6888 0.8880 1
O4 0.1525 0.6977 0.3816 1
O5 0.3373 0.3072 0.1142 1
O6 0.3488 0.3174 0.6080 1
O7 0.3726 0.6997 0.1240 1
O8 0.4187 0.7109 0.6221 1
O9 0.5843 0.3170 0.3654 1
O10 0.5911 0.3122 0.8620 1
O11 0.6460 0.6872 0.8847 1
O12 0.6569 0.6995 0.3859 1
O13 0.8329 0.3050 0.1098 1
O14 0.8446 0.3188 0.6113 1
O15 0.8992 0.6945 0.6334 1
O16 0.9049 0.6872 0.1311 1
```

Largest 6 diffraction maxima, by angle, 10° ≤ 2θ ≤ 90°:
17.63 deg, I 100, hkl 0 1 0
36.88 deg, I 18, hkl 2 1 2
37.11 deg, I 9, hkl 2 1 -2
43.77 deg, I 28, hkl 2 0 2
44.09 deg, I 13, hkl 2 2 -2
65.73 deg, I 7, hkl 2 0 -6